(1)
Starting from a crystal structure in Alexandria, relaxed with PBE, the powder X-ray diffraction pattern of LiCoAu was simulated for Cu Kα.

Structural model:
```
data_LiCoAu
_cell_length_a 2.677
_cell_length_b 3.969
_cell_length_c 7.945
_cell_angle_alpha 90.00
_cell_angle_beta 90.00
_cell_angle_gamma 90.00
_symmetry_space_group_name_H-M 'I m m 2'
_symmetry_Int_Tables_number 44
loop_
_symmetry_equiv_pos_as_xyz
'x,y,z'
'-x,-y,z'
'-x,y,z'
'x,-y,z'
'x+1/2,y+1/2,z+1/2'
'-x+1/2,-y+1/2,z+1/2'
'-x+1/2,y+1/2,z+1/2'
'x+1/2,-y+1/2,z+1/2'
loop_
_atom_site_label
_atom_site_type_symbol
_atom_site_fract_x
_atom_site_fract_y
_atom_site_fract_z
Li1 Li 0.000 0.000 0.000
Co1 Co 0.000 0.000 0.331
Au1 Au 0.000 0.000 0.667
```

Main lines, sorted by position (2θ = 10–80°):
Position (°2θ), Rel. int., hkl
22.38, 68, 0 0 2
25.08, 100, 0 1 1
35.38, 42, 1 0 1
40.65, 70, 1 1 0
40.97, 68, 0 1 3
46.89, 41, 1 1 2
48.34, 42, 1 0 3
68.72, 36, 1 2 3

---

(2)
Starting from a crystal structure in Alexandria, relaxed with PBE, the powder X-ray diffraction pattern of GaHgCl3 was simulated for Cu Kα.

Structural model:
```
data_GaHgCl3
_cell_length_a 6.134
_cell_length_b 7.086
_cell_length_c 7.831
_cell_angle_alpha 90.10
_cell_angle_beta 93.92
_cell_angle_gamma 90.02
_symmetry_space_group_name_H-M 'P 1'
_symmetry_Int_Tables_number 1
loop_
_symmetry_equiv_pos_as_xyz
'x,y,z'
loop_
_atom_site_label
_atom_site_type_symbol
_atom_site_fract_x
_atom_site_fract_y
_atom_site_fract_z
Ga1 Ga 0.000 0.000 0.000
Ga2 Ga 0.286 0.499 0.576
Hg1 Hg 0.385 0.118 0.057
Hg2 Hg 0.901 0.616 0.518
Cl1 Cl 0.339 0.218 0.470
Cl2 Cl 0.417 0.520 0.842
Cl3 Cl 0.497 0.701 0.426
Cl4 Cl 0.789 0.204 0.149
Cl5 Cl 0.869 0.019 0.733
Cl6 Cl 0.947 0.720 0.106
```

Main lines, sorted by position (2θ = 10–80°):
Position (°2θ), Rel. int., hkl
16.89, 100, 0 1 1
19.16, 26, 1 -1 0
22.77, 31, 0 0 2
25.13, 21, 0 2 0
29.15, 47, 2 0 0
34.60, 14, 2 1 1
36.77, 15, 0 1 3
50.70, 14, 3 1 -2

---

(3)
Starting from a crystal structure in Alexandria, relaxed with PBE, the powder X-ray diffraction pattern of CdHg4H2 was simulated for Cu Kα.

Structural model:
```
data_CdHg4H2
_cell_length_a 6.131
_cell_length_b 3.252
_cell_length_c 7.548
_cell_angle_alpha 90.00
_cell_angle_beta 90.17
_cell_angle_gamma 90.00
_symmetry_space_group_name_H-M 'P 1 2/m 1'
_symmetry_Int_Tables_number 10
loop_
_symmetry_equiv_pos_as_xyz
'x,y,z'
'-x,-y,-z'
'-x,y,-z'
'x,-y,z'
loop_
_atom_site_label
_atom_site_type_symbol
_atom_site_fract_x
_atom_site_fract_y
_atom_site_fract_z
Cd1 Cd 0.000 0.000 0.000
Hg1 Hg 0.193 0.000 0.624
Hg2 Hg 0.411 0.500 0.165
H1 H 0.308 0.500 0.379
```

Main lines, sorted by position (2θ = 10–80°):
Position (°2θ), Rel. int., hkl
27.73, 100, 1 0 -2
29.92, 29, 0 1 1
31.13, 68, 1 1 0
31.53, 79, 2 0 1
33.38, 76, 1 1 1
38.72, 40, 1 0 3
45.59, 43, 0 1 3
47.31, 46, 2 1 -2

---

(4)
Starting from a crystal structure in Alexandria, relaxed with PBE, the powder X-ray diffraction pattern of Zr2CuAu was simulated for Cu Kα.

Structural model:
```
data_Zr2CuAu
_cell_length_a 6.026
_cell_length_b 6.121
_cell_length_c 8.133
_cell_angle_alpha 90.00
_cell_angle_beta 90.00
_cell_angle_gamma 90.00
_symmetry_space_group_name_H-M 'F m m m'
_symmetry_Int_Tables_number 69
_symmetry_space_group_name_Hall '-F 2 2'
loop_
_atom_site_label
_atom_site_type_symbol
_atom_site_fract_x
_atom_site_fract_y
_atom_site_fract_z
Zr1 Zr 0.250 0.250 0.250
Cu1 Cu 0.000 0.000 0.000
Au1 Au 0.000 0.000 0.500
```

Main lines, sorted by position (2θ = 10–80°):
Position (°2θ), Rel. int., hkl
23.43, 49, 1 1 1
36.75, 100, 0 2 2
37.14, 97, 2 0 2
42.08, 68, 2 2 0
44.56, 29, 0 0 4
62.96, 40, 2 2 4
73.17, 26, 2 4 2
73.89, 25, 4 2 2

---

(5)
Starting from a crystal structure in Alexandria, relaxed with PBE, the powder X-ray diffraction pattern of Y3Mn was simulated for Cu Kα.

Structural model:
```
data_Y3Mn
_cell_length_a 4.780
_cell_length_b 4.780
_cell_length_c 9.645
_cell_angle_alpha 90.00
_cell_angle_beta 90.00
_cell_angle_gamma 90.00
_symmetry_space_group_name_H-M 'I 4/m m m'
_symmetry_Int_Tables_number 139
_symmetry_space_group_name_Hall '-I 4 2'
loop_
_atom_site_label
_atom_site_type_symbol
_atom_site_fract_x
_atom_site_fract_y
_atom_site_fract_z
Y1 Y 0.000 0.000 0.000
Y2 Y 0.000 0.500 0.250
Mn1 Mn 0.000 0.000 0.500
```

Main lines, sorted by position (2θ = 10–80°):
Position (°2θ), Rel. int., hkl
32.35, 100, 1 1 2
37.29, 17, 0 0 4
37.64, 33, 2 0 0
54.03, 22, 2 0 4
54.29, 11, 2 2 0
64.16, 13, 1 1 6
64.62, 25, 3 1 2
67.71, 11, 2 2 4

---

(6)
Starting from a crystal structure in Alexandria, relaxed with PBE, the powder X-ray diffraction pattern of Nd6AlIn5 was simulated for Cu Kα.

Structural model:
```
data_Nd6AlIn5
_cell_length_a 5.448
_cell_length_b 16.344
_cell_length_c 7.713
_cell_angle_alpha 90.00
_cell_angle_beta 90.00
_cell_angle_gamma 90.00
_symmetry_space_group_name_H-M 'C m m m'
_symmetry_Int_Tables_number 65
_symmetry_space_group_name_Hall '-C 2 2'
loop_
_atom_site_label
_atom_site_type_symbol
_atom_site_fract_x
_atom_site_fract_y
_atom_site_fract_z
Nd1 Nd 0.000 0.000 0.245
Nd2 Nd 0.000 0.336 0.248
Al1 Al 0.000 0.500 0.000
In1 In 0.000 0.168 0.000
In2 In 0.000 0.168 0.500
In3 In 0.000 0.500 0.500
```

Main lines, sorted by position (2θ = 10–80°):
Position (°2θ), Rel. int., hkl
23.08, 4, 1 3 0
32.87, 100, 2 0 0
40.55, 1, 2 0 2
47.17, 18, 2 6 0
53.14, 2, 3 3 0
58.68, 37, 3 3 2
68.92, 11, 4 0 0
78.49, 16, 4 6 0

---

(7)
Starting from a crystal structure in Alexandria, relaxed with PBE, the powder X-ray diffraction pattern of CaMgSn2Pd4 was simulated for Cu Kα.

Structural model:
```
data_CaMgSn2Pd4
_cell_length_a 4.6439
_cell_length_b 4.6439
_cell_length_c 23.8461
_cell_angle_alpha 90.00
_cell_angle_beta 90.00
_cell_angle_gamma 120.00
_symmetry_space_group_name_H-M 'R -3 m'
_symmetry_Int_Tables_number 166
_symmetry_space_group_name_Hall '-R 3 2"'
loop_
_atom_site_label
_atom_site_type_symbol
_atom_site_fract_x
_atom_site_fract_y
_atom_site_fract_z
Ca1 Ca 0.0000 0.0000 0.0000
Mg1 Mg 0.0000 0.0000 0.5000
Sn1 Sn 0.0000 0.0000 0.2479
Pd1 Pd 0.0000 0.0000 0.1292
Pd2 Pd 0.0000 0.0000 0.3897
```

Main lines, sorted by position (2θ = 10–80°):
Position (°2θ), Rel. int., hkl
22.37, 16, 0 0 6
23.34, 14, 0 1 2
37.56, 92, 0 1 8
38.78, 100, 1 1 0
45.23, 16, 1 1 6
55.09, 32, 2 0 8
69.40, 31, 1 2 8
70.21, 17, 3 0 0

---

(8)
Starting from a crystal structure in Alexandria, relaxed with PBE, the powder X-ray diffraction pattern of LiAgPb was simulated for Cu Kα.

Structural model:
```
data_LiAgPb
_cell_length_a 3.640
_cell_length_b 3.640
_cell_length_c 9.351
_cell_angle_alpha 90.00
_cell_angle_beta 90.00
_cell_angle_gamma 90.00
_symmetry_space_group_name_H-M 'I 4 m m'
_symmetry_Int_Tables_number 107
_symmetry_space_group_name_Hall 'I 4 -2'
loop_
_atom_site_label
_atom_site_type_symbol
_atom_site_fract_x
_atom_site_fract_y
_atom_site_fract_z
Li1 Li 0.000 0.000 0.000
Ag1 Ag 0.000 0.000 0.640
Pb1 Pb 0.000 0.000 0.319
```

Main lines, sorted by position (2θ = 10–80°):
Position (°2θ), Rel. int., hkl
18.98, 32, 0 0 2
26.27, 84, 1 0 1
34.86, 64, 1 1 0
38.01, 100, 1 0 3
39.99, 21, 1 1 2
50.12, 23, 2 0 0
57.47, 20, 2 1 1
64.59, 42, 2 1 3

---

(9)
Starting from a crystal structure in Alexandria, relaxed with PBE, the powder X-ray diffraction pattern of Tb2Ho6ErSc was simulated for Cu Kα.

Structural model:
```
data_Tb2Ho6ErSc
_cell_length_a 8.959
_cell_length_b 14.747
_cell_length_c 9.422
_cell_angle_alpha 90.00
_cell_angle_beta 98.01
_cell_angle_gamma 90.00
_symmetry_space_group_name_H-M 'C 1 2/c 1'
_symmetry_Int_Tables_number 15
loop_
_symmetry_equiv_pos_as_xyz
'x,y,z'
'-x,-y,-z'
'-x,y,-z+1/2'
'x,-y,z+1/2'
'x+1/2,y+1/2,z'
'-x+1/2,-y+1/2,-z'
'-x+1/2,y+1/2,-z+1/2'
'x+1/2,-y+1/2,z+1/2'
loop_
_atom_site_label
_atom_site_type_symbol
_atom_site_fract_x
_atom_site_fract_y
_atom_site_fract_z
Tb1 Tb 0.249 0.051 0.454
Ho1 Ho 0.061 0.312 0.944
Ho2 Ho 0.101 0.106 0.117
Ho3 Ho 0.212 0.279 0.310
Er1 Er 0.000 0.479 0.250
Sc1 Sc 0.000 0.088 0.750
```

Main lines, sorted by position (2θ = 10–80°):
Position (°2θ), Rel. int., hkl
29.18, 42, 1 3 2
31.02, 56, 3 1 -1
31.21, 39, 0 2 3
31.98, 41, 1 5 0
32.12, 100, 2 2 2
33.01, 21, 1 5 -1
34.43, 40, 1 3 -3
54.39, 19, 4 2 -4

---

(10)
Starting from a crystal structure in Alexandria, relaxed with PBE, the powder X-ray diffraction pattern of Pr3Nd5Sm was simulated for Cu Kα.

Structural model:
```
data_Pr3Nd5Sm
_cell_length_a 11.568
_cell_length_b 8.406
_cell_length_c 14.943
_cell_angle_alpha 90.00
_cell_angle_beta 112.29
_cell_angle_gamma 90.00
_symmetry_space_group_name_H-M 'C 1 2/m 1'
_symmetry_Int_Tables_number 12
loop_
_symmetry_equiv_pos_as_xyz
'x,y,z'
'-x,-y,-z'
'-x,y,-z'
'x,-y,z'
'x+1/2,y+1/2,z'
'-x+1/2,-y+1/2,-z'
'-x+1/2,y+1/2,-z'
'x+1/2,-y+1/2,z'
loop_
_atom_site_label
_atom_site_type_symbol
_atom_site_fract_x
_atom_site_fract_y
_atom_site_fract_z
Pr1 Pr 0.000 0.000 0.000
Pr2 Pr 0.000 0.000 0.500
Pr3 Pr 0.186 0.000 0.377
Pr4 Pr 0.206 0.500 0.002
Nd1 Nd 0.000 0.325 0.500
Nd2 Nd 0.078 0.289 0.157
Nd3 Nd 0.140 0.500 0.759
Nd4 Nd 0.195 0.500 0.380
Sm1 Sm 0.116 0.000 0.755
```

Main lines, sorted by position (2θ = 10–80°):
Position (°2θ), Rel. int., hkl
21.14, 49, 0 2 0
27.01, 70, 2 2 0
28.75, 66, 0 2 3
30.01, 91, 2 0 3
30.24, 90, 2 0 -5
30.92, 100, 4 0 -2
43.04, 28, 0 4 0
53.93, 23, 4 4 -2

---

(11)
Starting from a crystal structure in Alexandria, relaxed with PBE, the powder X-ray diffraction pattern of Cs5Rb2Ag2 was simulated for Cu Kα.

Structural model:
```
data_Cs5Rb2Ag2
_cell_length_a 11.752
_cell_length_b 10.737
_cell_length_c 10.685
_cell_angle_alpha 90.00
_cell_angle_beta 90.00
_cell_angle_gamma 90.00
_symmetry_space_group_name_H-M 'A m m 2'
_symmetry_Int_Tables_number 38
loop_
_symmetry_equiv_pos_as_xyz
'x,y,z'
'-x,-y,z'
'-x,y,z'
'x,-y,z'
'x,y+1/2,z+1/2'
'-x,-y+1/2,z+1/2'
'-x,y+1/2,z+1/2'
'x,-y+1/2,z+1/2'
loop_
_atom_site_label
_atom_site_type_symbol
_atom_site_fract_x
_atom_site_fract_y
_atom_site_fract_z
Cs1 Cs 0.000 0.000 0.000
Cs2 Cs 0.287 0.250 0.250
Rb1 Rb 0.000 0.000 0.500
Rb2 Rb 0.500 0.000 0.500
Ag1 Ag 0.379 0.000 0.999
```

Main lines, sorted by position (2θ = 10–80°):
Position (°2θ), Rel. int., hkl
22.46, 100, 2 2 0
23.49, 81, 0 2 2
32.90, 23, 3 2 2
33.38, 16, 0 4 0
33.55, 16, 0 0 4
40.63, 26, 2 4 2
40.74, 27, 2 2 4
41.98, 19, 5 2 0

---

(12)
Starting from a crystal structure in Alexandria, relaxed with PBE, the powder X-ray diffraction pattern of CdGaAg2Se4 was simulated for Cu Kα.

Structural model:
```
data_CdGaAg2Se4
_cell_length_a 8.177
_cell_length_b 7.469
_cell_length_c 7.050
_cell_angle_alpha 90.00
_cell_angle_beta 90.00
_cell_angle_gamma 90.00
_symmetry_space_group_name_H-M 'P m n 21'
_symmetry_Int_Tables_number 31
loop_
_symmetry_equiv_pos_as_xyz
'x,y,z'
'-x+1/2,-y,z+1/2'
'-x,y,z'
'x+1/2,-y,z+1/2'
loop_
_atom_site_label
_atom_site_type_symbol
_atom_site_fract_x
_atom_site_fract_y
_atom_site_fract_z
Cd1 Cd 0.000 0.150 0.000
Ga1 Ga 0.000 0.826 0.500
Ag1 Ag 0.245 0.327 0.512
Se1 Se 0.000 0.135 0.383
Se2 Se 0.000 0.822 0.850
Se3 Se 0.239 0.663 0.386
```

Main lines, sorted by position (2θ = 10–80°):
Position (°2θ), Rel. int., hkl
23.83, 46, 0 2 0
24.83, 100, 2 1 0
25.26, 86, 0 0 2
27.91, 74, 2 1 1
42.51, 83, 2 3 0
45.61, 46, 0 2 3
46.18, 86, 2 1 3
50.10, 48, 2 3 2